1.
Starting from a DFT-relaxed cell (PBE, Alexandria), the powder diffractogram of LaGe3Pt6 was computed for Cu Kα, 1.54184 Å.

Principal peaks in the range 10 to 80 degrees two-theta, sorted by position:
2θ = 19.2°, d = 4.632 Å, rel. 335, hkl 0 1 2; 2θ = 27.0°, d = 3.301 Å, rel. 1000, hkl 1 1 0; 2θ = 31.8°, d = 2.813 Å, rel. 232, hkl 0 2 1; 2θ = 33.3°, d = 2.688 Å, rel. 427, hkl 2 0 2; 2θ = 34.1°, d = 2.633 Å, rel. 652, hkl 0 0 6; 2θ = 38.9°, d = 2.316 Å, rel. 574, hkl 0 2 4; 2θ = 43.4°, d = 2.085 Å, rel. 625, hkl 3 -2 2; 2θ = 44.0°, d = 2.058 Å, rel. 623, hkl 1 1 6; 2θ = 47.7°, d = 1.906 Å, rel. 217, hkl 3 0 0; 2θ = 48.0°, d = 1.896 Å, rel. 616, hkl 2 1 4

Atomic structure:
Unit cell a=6.6029 b=6.6029 c=15.7973 alpha=90.00 beta=90.00 gamma=120.00
Space group R3 (No. 146, hexagonal axes)
Unique sites:
La (0.0000, 0.0000, 0.0000) x3
Ge (0.0000, 0.0000, 0.2013) x3
Ge (0.0000, 0.0000, 0.4654) x3
Ge (0.0000, 0.0000, 0.7129) x3
Pt (0.0571, 0.4648, 0.9936) x9
Pt (0.0672, 0.3969, 0.4984) x9

2.
Starting from a DFT-relaxed cell (PBE, Alexandria), the powder diffractogram of PaZnReO6 was computed for Cu Kα, 1.54184 Å.

Principal peaks in the range 10 to 80 degrees two-theta, sorted by position:
2θ = 18.7°, d = 4.734 Å, rel. 300, hkl 1 0 0; 2θ = 19.9°, d = 4.465 Å, rel. 557, hkl 0 0 2; 2θ = 27.5°, d = 3.248 Å, rel. 1000, hkl 1 0 2; 2θ = 32.8°, d = 2.733 Å, rel. 772, hkl 1 1 0; 2θ = 38.6°, d = 2.331 Å, rel. 634, hkl 1 1 2; 2θ = 43.3°, d = 2.091 Å, rel. 296, hkl 2 0 2; 2θ = 53.0°, d = 1.729 Å, rel. 589, hkl 1 1 4; 2θ = 55.3°, d = 1.661 Å, rel. 288, hkl 2 1 2; 2θ = 58.5°, d = 1.578 Å, rel. 247, hkl 3 0 0; 2θ = 72.3°, d = 1.307 Å, rel. 215, hkl 2 -1 6

Atomic structure:
Unit cell a=5.4663 b=5.4663 c=8.9294 alpha=90.00 beta=90.00 gamma=120.00
Space group P-31c (No. 163)
Unique sites:
Pa (0.3333, 0.6667, 0.2500) x2
Zn (0.0000, 0.0000, 0.0000) x2
Re (0.3333, 0.6667, 0.7500) x2
O (0.0291, 0.3583, 0.6305) x12